Pr12Nd2Ho5: calculated powder XRD pattern (a wavelength of 1.5418 Å), based on a PBE-relaxed structure.

Most intense lines, 15° ≤ 2θ ≤ 90°, low angle first:
2θ (°), I_rel, (hkl)
26.22, 16.8, 1 1 2
30.27, 50.0, 0 4 0
30.44, 26.7, 3 1 -3
30.76, 34.6, 2 0 2
31.23, 100.0, 4 2 -1
32.00, 52.9, 2 2 -3
34.01, 22.5, 1 3 2
43.70, 21.8, 2 4 2
54.38, 15.2, 4 6 -1
54.50, 14.0, 6 2 1

Structural model:
```
data_Pr12Nd2Ho5
_chemical_formula_sum 'Pr24 Nd4 Ho10'
_cell_length_a 13.175
_cell_length_b 11.810
_cell_length_c 9.535
_cell_angle_alpha 90.00
_cell_angle_beta 116.25
_cell_angle_gamma 90.00
_space_group_name_H-M_alt 'C 1 2/m 1'
_space_group_IT_number 12
loop_
_space_group_symop_operation_xyz
'x,y,z'
'-x,-y,-z'
'-x,y,-z'
'x,-y,z'
'x+1/2,y+1/2,z'
'-x+1/2,-y+1/2,-z'
'-x+1/2,y+1/2,-z'
'x+1/2,-y+1/2,z'
loop_
_atom_site_label
_atom_site_type_symbol
_atom_site_fract_x
_atom_site_fract_y
_atom_site_fract_z
Pr1 Pr 0.078 0.000 0.285
Pr2 Pr 0.108 0.220 0.917
Pr3 Pr 0.115 0.500 0.440
Pr4 Pr 0.195 0.256 0.301
Nd1 Nd 0.000 0.226 0.500
Ho1 Ho 0.000 0.500 0.000
Ho2 Ho 0.189 0.000 0.733
Ho3 Ho 0.196 0.500 0.839
```



ErNiRh2: calculated powder XRD pattern (a wavelength of 1.5418 Å), based on a PBE-relaxed structure.

Most intense lines, 15° ≤ 2θ ≤ 90°, low angle first:
2θ (°), I_rel, (hkl)
32.15, 50.8, 1 0 7
34.12, 33.1, 1 1 0
35.18, 35.0, 0 1 8
39.78, 59.6, 0 2 1
40.76, 100.0, 1 1 6
43.82, 25.7, 2 0 5
59.84, 17.9, 2 1 7
65.60, 23.7, 3 0 6
67.23, 22.9, 2 0 14
71.85, 28.0, 2 2 0

Structural model:
```
data_ErNiRh2
_chemical_formula_sum 'Er9 Ni9 Rh18'
_cell_length_a 5.2557
_cell_length_b 5.2557
_cell_length_c 24.6408
_cell_angle_alpha 90.00
_cell_angle_beta 90.00
_cell_angle_gamma 120.00
_space_group_name_H-M_alt 'R -3 m'
_space_group_IT_number 166
_space_group_name_Hall '-R 3 2"'
loop_
_atom_site_label
_atom_site_type_symbol
_atom_site_fract_x
_atom_site_fract_y
_atom_site_fract_z
Er1 Er 0.0000 0.0000 0.0000
Er2 Er 0.0000 0.0000 0.1406
Ni1 Ni 0.0000 0.0000 0.3330
Ni2 Ni 0.0000 0.0000 0.5000
Rh1 Rh 0.0013 0.5006 0.9175
```



FeSi2Ru: calculated powder XRD pattern (a wavelength of 1.5418 Å), based on a PBE-relaxed structure.

Most intense lines, 15° ≤ 2θ ≤ 90°, low angle first:
2θ (°), I_rel, (hkl)
22.35, 17.3, 0 0 1
26.44, 44.9, 2 0 -1
33.44, 36.0, 1 1 0
35.40, 24.4, 2 0 1
38.79, 29.5, 1 1 -1
42.33, 100.0, 1 1 1
43.81, 54.8, 4 0 0
44.75, 26.9, 2 0 -2
45.61, 29.3, 0 0 2
47.13, 80.9, 3 1 -1

Structural model:
```
data_FeSi2Ru
_chemical_formula_sum 'Fe2 Si4 Ru2'
_cell_length_a 8.603
_cell_length_b 2.833
_cell_length_c 4.140
_cell_angle_alpha 90.00
_cell_angle_beta 106.10
_cell_angle_gamma 90.00
_space_group_name_H-M_alt 'C 1 m 1'
_space_group_IT_number 8
loop_
_space_group_symop_operation_xyz
'x,y,z'
'x,-y,z'
'x+1/2,y+1/2,z'
'x+1/2,-y+1/2,z'
loop_
_atom_site_label
_atom_site_type_symbol
_atom_site_fract_x
_atom_site_fract_y
_atom_site_fract_z
Fe1 Fe 0.000 0.000 0.000
Si1 Si 0.240 0.500 0.108
Si2 Si 0.493 0.000 0.477
Ru1 Ru 0.236 0.000 0.605
```



Ac3LaDy2: calculated powder XRD pattern (a wavelength of 1.5418 Å), based on a PBE-relaxed structure.

Most intense lines, 15° ≤ 2θ ≤ 90°, low angle first:
2θ (°), I_rel, (hkl)
29.37, 23.1, 2 2 0
29.51, 100.0, 2 0 2
29.87, 26.0, 2 0 -4
42.04, 9.2, 4 2 0
42.39, 17.4, 4 2 -4
52.21, 9.1, 6 2 -2
52.43, 9.7, 2 2 4
52.80, 20.2, 0 0 6
58.14, 16.9, 2 4 2
58.35, 8.0, 2 4 -4

Structural model:
```
data_Ac3LaDy2
_chemical_formula_sum 'Ac12 La4 Dy8'
_cell_length_a 12.105
_cell_length_b 7.453
_cell_length_c 11.964
_cell_angle_alpha 90.00
_cell_angle_beta 119.64
_cell_angle_gamma 90.00
_space_group_name_H-M_alt 'C 1 2/c 1'
_space_group_IT_number 15
loop_
_space_group_symop_operation_xyz
'x,y,z'
'-x,-y,-z'
'-x,y,-z+1/2'
'x,-y,z+1/2'
'x+1/2,y+1/2,z'
'-x+1/2,-y+1/2,-z'
'-x+1/2,y+1/2,-z+1/2'
'x+1/2,-y+1/2,z+1/2'
loop_
_atom_site_label
_atom_site_type_symbol
_atom_site_fract_x
_atom_site_fract_y
_atom_site_fract_z
Ac1 Ac 0.000 0.245 0.250
Ac2 Ac 0.172 0.496 0.086
La1 La 0.000 0.246 0.750
Dy1 Dy 0.157 0.002 0.579
```



KBa2TlS4: calculated powder XRD pattern (a wavelength of 1.5418 Å), based on a PBE-relaxed structure.

Most intense lines, 15° ≤ 2θ ≤ 90°, low angle first:
2θ (°), I_rel, (hkl)
24.44, 47.5, 0 2 2
24.79, 46.0, 2 0 2
28.06, 100.0, 2 2 0
29.36, 40.2, 0 0 4
39.66, 19.2, 0 4 0
40.55, 17.9, 4 0 0
41.06, 63.1, 2 2 4
50.10, 17.5, 0 4 4
65.07, 17.1, 2 6 0
66.32, 23.1, 6 2 0

Structural model:
```
data_KBa2TlS4
_chemical_formula_sum 'K4 Ba8 Tl4 S16'
_cell_length_a 8.899
_cell_length_b 9.091
_cell_length_c 12.170
_cell_angle_alpha 90.00
_cell_angle_beta 90.00
_cell_angle_gamma 90.00
_space_group_name_H-M_alt 'I m m a'
_space_group_IT_number 74
_space_group_name_Hall '-I 2b 2'
loop_
_atom_site_label
_atom_site_type_symbol
_atom_site_fract_x
_atom_site_fract_y
_atom_site_fract_z
K1 K 0.250 0.250 0.250
Ba1 Ba 0.000 0.000 0.000
Ba2 Ba 0.250 0.250 0.750
Tl1 Tl 0.000 0.000 0.500
S1 S 0.000 0.003 0.711
S2 S 0.245 0.250 0.000
```



Li3Tl3Zn: calculated powder XRD pattern (a wavelength of 1.5418 Å), based on a PBE-relaxed structure.

Most intense lines, 15° ≤ 2θ ≤ 90°, low angle first:
2θ (°), I_rel, (hkl)
26.29, 100.0, 2 2 0
27.72, 53.3, 0 0 2
29.78, 12.9, 2 2 1
32.81, 13.7, 3 1 1
37.21, 25.0, 0 4 0
37.81, 13.8, 4 0 0
38.57, 81.5, 2 2 2
47.03, 23.7, 0 4 2
64.06, 17.0, 2 2 4
68.00, 13.1, 2 6 2

Structural model:
```
data_Li3Tl3Zn
_chemical_formula_sum 'Li12 Tl12 Zn4'
_cell_length_a 9.517
_cell_length_b 9.664
_cell_length_c 6.436
_cell_angle_alpha 90.00
_cell_angle_beta 90.00
_cell_angle_gamma 90.00
_space_group_name_H-M_alt 'C m m m'
_space_group_IT_number 65
_space_group_name_Hall '-C 2 2'
loop_
_atom_site_label
_atom_site_type_symbol
_atom_site_fract_x
_atom_site_fract_y
_atom_site_fract_z
Li1 Li 0.000 0.000 0.223
Li2 Li 0.250 0.250 0.233
Tl1 Tl 0.000 0.271 0.500
Tl2 Tl 0.190 0.500 0.000
Tl3 Tl 0.249 0.000 0.500
Zn1 Zn 0.000 0.256 0.000
```